1.
Diffraction record for KSrCeF6. The XRD peak list is theoretical, not measured: it uses DFT lattice parameters and positions (PBE) and Cu Kα X-rays.
Peak positions follow from Bragg's law for the DFT cell and can differ from measured ones.

```
data_KSrCeF6
_symmetry_space_group_name_H-M 'P -3 1 c'
_symmetry_Int_Tables_number 163
_symmetry_space_group_name_Hall '-P 3 2c'
_cell_length_a 6.4519
_cell_length_b 6.4519
_cell_length_c 9.9420
_cell_angle_alpha 90.00
_cell_angle_beta 90.00
_cell_angle_gamma 120.00
loop_
_atom_site_label
_atom_site_type_symbol
_atom_site_fract_x
_atom_site_fract_y
_atom_site_fract_z
_atom_site_occupancy
K1 K 0.3333 0.6667 0.2500 1
Sr1 Sr 0.0000 0.0000 0.0000 1
Ce1 Ce 0.3333 0.6667 0.7500 1
F1 F 0.0430 0.3470 0.6280 1
```

Largest 12 diffraction maxima, sorted by position, 10° ≤ 2θ ≤ 90°:
- 17.8°, I = 102
- 18.2°, I = 544
- 24.0°, I = 1000
- 27.7°, I = 483
- 33.1°, I = 240
- 36.9°, I = 322
- 46.1°, I = 543
- 46.7°, I = 322
- 48.9°, I = 285
- 62.8°, I = 132
- 69.5°, I = 139
- 89.5°, I = 140

---

2.
Diffraction record for KCeTl2F8. The XRD peak list is theoretical, not measured: it uses DFT lattice parameters and positions (PBE) and Cu Kα X-rays.
Peak positions follow from Bragg's law for the DFT cell and can differ from measured ones.

```
data_KCeTl2F8
_symmetry_space_group_name_H-M 'P m m m'
_symmetry_Int_Tables_number 47
_symmetry_space_group_name_Hall '-P 2 2'
_cell_length_a 4.1369
_cell_length_b 6.1508
_cell_length_c 8.5112
_cell_angle_alpha 90.00
_cell_angle_beta 90.00
_cell_angle_gamma 90.00
loop_
_atom_site_label
_atom_site_type_symbol
_atom_site_fract_x
_atom_site_fract_y
_atom_site_fract_z
_atom_site_occupancy
K1 K 0.0000 0.0000 0.0000 1
Ce1 Ce 0.0000 0.0000 0.5000 1
Tl1 Tl 0.5000 0.5000 0.2338 1
F1 F 0.0000 0.2257 0.2942 1
F2 F 0.5000 0.2010 0.5000 1
F3 F 0.5000 0.2772 0.0000 1
```

Largest 12 diffraction maxima, sorted by position, 10° ≤ 2θ ≤ 90°:
- 14.4°, I = 210
- 17.8°, I = 186
- 25.5°, I = 977
- 26.0°, I = 1000
- 29.0°, I = 201
- 30.1°, I = 350
- 42.3°, I = 773
- 42.5°, I = 168
- 43.8°, I = 191
- 49.3°, I = 175
- 50.5°, I = 284
- 51.3°, I = 291

---

3.
Diffraction record for LaCe2F11. The XRD peak list is theoretical, not measured: it uses DFT lattice parameters and positions (PBE) and Cu Kα X-rays.
Peak positions follow from Bragg's law for the DFT cell and can differ from measured ones.

```
data_LaCe2F11
_symmetry_space_group_name_H-M 'I b a m'
_symmetry_Int_Tables_number 72
_symmetry_space_group_name_Hall '-I 2 2c'
_cell_length_a 8.4383
_cell_length_b 10.6155
_cell_length_c 11.4577
_cell_angle_alpha 90.00
_cell_angle_beta 90.00
_cell_angle_gamma 90.00
loop_
_atom_site_label
_atom_site_type_symbol
_atom_site_fract_x
_atom_site_fract_y
_atom_site_fract_z
_atom_site_occupancy
La1 La 0.0000 0.0000 0.2500 1
Ce1 Ce 0.1438 0.3180 0.0000 1
F1 F 0.0000 0.5000 0.0000 1
F2 F 0.0963 0.1794 0.1386 1
F3 F 0.1274 0.2839 0.5000 1
F4 F 0.2252 0.0748 0.3666 1
```

Largest 12 diffraction maxima, sorted by position, 10° ≤ 2θ ≤ 90°:
- 15.5°, I = 272
- 20.5°, I = 1000
- 21.2°, I = 474
- 22.8°, I = 733
- 24.0°, I = 693
- 27.3°, I = 232
- 41.7°, I = 179
- 42.0°, I = 333
- 42.9°, I = 221
- 44.1°, I = 402
- 45.8°, I = 242
- 46.9°, I = 210

---

4.
Diffraction record for Li2CeF8. The XRD peak list is theoretical, not measured: it uses DFT lattice parameters and positions (PBE) and Cu Kα X-rays.
Peak positions follow from Bragg's law for the DFT cell and can differ from measured ones.

```
data_Li2CeF8
_symmetry_space_group_name_H-M 'I 4 2 2'
_symmetry_Int_Tables_number 97
_symmetry_space_group_name_Hall 'I 4 2'
_cell_length_a 5.5336
_cell_length_b 5.5336
_cell_length_c 9.6677
_cell_angle_alpha 90.00
_cell_angle_beta 90.00
_cell_angle_gamma 90.00
loop_
_atom_site_label
_atom_site_type_symbol
_atom_site_fract_x
_atom_site_fract_y
_atom_site_fract_z
_atom_site_occupancy
Li1 Li 0.0000 0.5000 0.2500 1
Ce1 Ce 0.0000 0.0000 0.0000 1
F1 F 0.1978 0.2808 0.8726 1
```

Largest 12 diffraction maxima, sorted by position, 10° ≤ 2θ ≤ 90°:
- 18.4°, I = 178
- 18.5°, I = 1000
- 22.7°, I = 197
- 29.4°, I = 334
- 32.1°, I = 203
- 37.5°, I = 448
- 44.0°, I = 94
- 46.3°, I = 204
- 46.4°, I = 139
- 50.1°, I = 248
- 50.3°, I = 105
- 55.9°, I = 109

---

5.
Diffraction record for Li3CeF8. The XRD peak list is theoretical, not measured: it uses DFT lattice parameters and positions (PBE) and Cu Kα X-rays.
Peak positions follow from Bragg's law for the DFT cell and can differ from measured ones.

```
data_Li3CeF8
_symmetry_space_group_name_H-M 'P -3 1 m'
_symmetry_Int_Tables_number 162
_symmetry_space_group_name_Hall '-P 3 2'
_cell_length_a 4.8191
_cell_length_b 4.8191
_cell_length_c 6.0265
_cell_angle_alpha 90.00
_cell_angle_beta 90.00
_cell_angle_gamma 120.00
loop_
_atom_site_label
_atom_site_type_symbol
_atom_site_fract_x
_atom_site_fract_y
_atom_site_fract_z
_atom_site_occupancy
Li1 Li 0.0000 0.0000 0.0000 1
Li2 Li 0.3333 0.6667 0.0000 1
Ce1 Ce 0.0000 0.0000 0.5000 1
F1 F 0.0000 0.3056 0.8058 1
F2 F 0.3333 0.6667 0.5000 1
```

Largest 12 diffraction maxima, sorted by position, 10° ≤ 2θ ≤ 90°:
- 14.7°, I = 651
- 21.3°, I = 1000
- 26.0°, I = 922
- 36.8°, I = 345
- 37.3°, I = 256
- 40.3°, I = 908
- 45.1°, I = 176
- 46.0°, I = 246
- 48.4°, I = 739
- 50.4°, I = 199
- 53.4°, I = 180
- 60.7°, I = 216

---

6.
Diffraction record for LiCeF5. The XRD peak list is theoretical, not measured: it uses DFT lattice parameters and positions (PBE) and Cu Kα X-rays.
Peak positions follow from Bragg's law for the DFT cell and can differ from measured ones.

```
data_LiCeF5
_symmetry_space_group_name_H-M 'I 41/a'
_symmetry_Int_Tables_number 88
_cell_length_a 14.9560
_cell_length_b 14.9560
_cell_length_c 6.7002
_cell_angle_alpha 90.00
_cell_angle_beta 90.00
_cell_angle_gamma 90.00
loop_
_symmetry_equiv_pos_as_xyz
'x,y,z'
'-x,-y,-z'
'-y+3/4,x+1/4,z+1/4'
'y+3/4,-x+1/4,-z+1/4'
'-x+1/2,-y,z+1/2'
'x+1/2,y,-z+1/2'
'y+3/4,-x+3/4,z+3/4'
'-y+3/4,x+3/4,-z+3/4'
'x+1/2,y+1/2,z+1/2'
'-x+1/2,-y+1/2,-z+1/2'
'-y+1/4,x+3/4,z+3/4'
'y+1/4,-x+3/4,-z+3/4'
'-x,-y+1/2,z'
'x,y+1/2,-z'
'y+1/4,-x+1/4,z+1/4'
'-y+1/4,x+1/4,-z+1/4'
loop_
_atom_site_label
_atom_site_type_symbol
_atom_site_fract_x
_atom_site_fract_y
_atom_site_fract_z
_atom_site_occupancy
Li1 Li 0.0830 0.3385 0.2578 1
Ce1 Ce 0.0657 0.4427 0.7331 1
F1 F 0.0324 0.4482 0.3650 1
F2 F 0.0464 0.3426 0.9794 1
F3 F 0.0687 0.1381 0.6872 1
F4 F 0.0833 0.0348 0.0213 1
F5 F 0.1578 0.0405 0.4123 1
```

Largest 12 diffraction maxima, sorted by position, 10° ≤ 2θ ≤ 90°:
- 14.5°, I = 323
- 16.8°, I = 822
- 18.7°, I = 1000
- 22.2°, I = 519
- 25.3°, I = 579
- 26.7°, I = 678
- 28.0°, I = 470
- 29.2°, I = 480
- 42.7°, I = 427
- 43.6°, I = 885
- 48.7°, I = 232
- 51.1°, I = 452

---

7.
Diffraction record for Rb2CeMgF6. The XRD peak list is theoretical, not measured: it uses DFT lattice parameters and positions (PBE) and Cu Kα X-rays.
Peak positions follow from Bragg's law for the DFT cell and can differ from measured ones.

```
data_Rb2CeMgF6
_symmetry_space_group_name_H-M 'P m m n'
_symmetry_Int_Tables_number 59
_cell_length_a 6.0858
_cell_length_b 8.9037
_cell_length_c 6.6830
_cell_angle_alpha 90.00
_cell_angle_beta 90.00
_cell_angle_gamma 90.00
loop_
_symmetry_equiv_pos_as_xyz
'x,y,z'
'-x,-y,-z'
'-x+1/2,-y+1/2,z'
'x+1/2,y+1/2,-z'
'x+1/2,-y,-z'
'-x+1/2,y,z'
'-x,y+1/2,-z'
'x,-y+1/2,z'
loop_
_atom_site_label
_atom_site_type_symbol
_atom_site_fract_x
_atom_site_fract_y
_atom_site_fract_z
_atom_site_occupancy
Rb1 Rb 0.2500 0.0159 0.2113 1
Ce1 Ce 0.2500 0.2500 0.7146 1
Mg1 Mg 0.2500 0.7500 0.7689 1
F1 F 0.0000 0.2500 0.4366 1
F2 F 0.0100 0.7500 0.9916 1
F3 F 0.2500 0.5170 0.7717 1
```

Largest 12 diffraction maxima, sorted by position, 10° ≤ 2θ ≤ 90°:
- 17.7°, I = 282
- 26.7°, I = 263
- 28.2°, I = 1000
- 29.4°, I = 243
- 32.2°, I = 111
- 40.1°, I = 384
- 40.5°, I = 216
- 44.8°, I = 120
- 48.1°, I = 143
- 51.3°, I = 225
- 58.3°, I = 218
- 81.6°, I = 107

---

8.
Diffraction record for CeNpN2F. The XRD peak list is theoretical, not measured: it uses DFT lattice parameters and positions (PBE) and Cu Kα X-rays.
Peak positions follow from Bragg's law for the DFT cell and can differ from measured ones.

```
data_CeNpN2F
_symmetry_space_group_name_H-M 'P 4/n m m'
_symmetry_Int_Tables_number 129
_cell_length_a 3.5095
_cell_length_b 3.5095
_cell_length_c 11.3891
_cell_angle_alpha 90.00
_cell_angle_beta 90.00
_cell_angle_gamma 90.00
loop_
_symmetry_equiv_pos_as_xyz
'x,y,z'
'-x,-y,-z'
'-y+1/2,x,z'
'y+1/2,-x,-z'
'-x+1/2,-y+1/2,z'
'x+1/2,y+1/2,-z'
'y,-x+1/2,z'
'-y,x+1/2,-z'
'x+1/2,-y,-z'
'-x+1/2,y,z'
'-y,-x,-z'
'y,x,z'
'-x,y+1/2,-z'
'x,-y+1/2,z'
'y+1/2,x+1/2,-z'
'-y+1/2,-x+1/2,z'
loop_
_atom_site_label
_atom_site_type_symbol
_atom_site_fract_x
_atom_site_fract_y
_atom_site_fract_z
_atom_site_occupancy
Ce1 Ce 0.2500 0.2500 0.1548 1
Np1 Np 0.2500 0.2500 0.6053 1
N1 N 0.2500 0.2500 0.3915 1
N2 N 0.2500 0.2500 0.7874 1
F1 F 0.2500 0.7500 0.0000 1
```

Largest 12 diffraction maxima, sorted by position, 10° ≤ 2θ ≤ 90°:
- 29.9°, I = 1000
- 31.4°, I = 166
- 34.8°, I = 151
- 36.2°, I = 389
- 39.6°, I = 94
- 48.7°, I = 256
- 52.1°, I = 165
- 54.7°, I = 110
- 55.0°, I = 91
- 61.3°, I = 279
- 62.1°, I = 100
- 63.0°, I = 94

---

9.
Diffraction record for NaCe2F6. The XRD peak list is theoretical, not measured: it uses DFT lattice parameters and positions (PBE) and Cu Kα X-rays.
Peak positions follow from Bragg's law for the DFT cell and can differ from measured ones.

```
data_NaCe2F6
_symmetry_space_group_name_H-M 'I m m m'
_symmetry_Int_Tables_number 71
_symmetry_space_group_name_Hall '-I 2 2'
_cell_length_a 4.0039
_cell_length_b 5.8184
_cell_length_c 12.2672
_cell_angle_alpha 90.00
_cell_angle_beta 90.00
_cell_angle_gamma 90.00
loop_
_atom_site_label
_atom_site_type_symbol
_atom_site_fract_x
_atom_site_fract_y
_atom_site_fract_z
_atom_site_occupancy
Na1 Na 0.0000 0.0000 0.0000 1
Ce1 Ce 0.0000 0.0000 0.3464 1
F1 F 0.0000 0.2490 0.1754 1
F2 F 0.0000 0.2572 0.5000 1
```

Largest 12 diffraction maxima, sorted by position, 10° ≤ 2θ ≤ 90°:
- 16.9°, I = 586
- 23.4°, I = 299
- 26.6°, I = 999
- 27.0°, I = 1000
- 30.8°, I = 218
- 31.3°, I = 228
- 40.1°, I = 267
- 44.3°, I = 205
- 44.4°, I = 935
- 45.3°, I = 230
- 52.7°, I = 248
- 53.3°, I = 289

---

10.
Diffraction record for NaCe2F8. The XRD peak list is theoretical, not measured: it uses DFT lattice parameters and positions (PBE) and Cu Kα X-rays.
Peak positions follow from Bragg's law for the DFT cell and can differ from measured ones.

```
data_NaCe2F8
_symmetry_space_group_name_H-M 'C 1 2/m 1'
_symmetry_Int_Tables_number 12
_symmetry_space_group_name_Hall '-C 2y'
_cell_length_a 11.1218
_cell_length_b 7.3838
_cell_length_c 4.1467
_cell_angle_alpha 90.00
_cell_angle_beta 109.06
_cell_angle_gamma 90.00
loop_
_atom_site_label
_atom_site_type_symbol
_atom_site_fract_x
_atom_site_fract_y
_atom_site_fract_z
_atom_site_occupancy
Na1 Na 0.0000 0.0000 0.0000 1
Ce1 Ce 0.1787 0.5000 0.4183 1
F1 F 0.0583 0.5000 0.8039 1
F2 F 0.1312 0.2022 0.3859 1
F3 F 0.2119 0.0000 0.9708 1
```

Largest 12 diffraction maxima, sorted by position, 10° ≤ 2θ ≤ 90°:
- 14.7°, I = 734
- 16.9°, I = 601
- 22.7°, I = 584
- 23.5°, I = 869
- 24.1°, I = 1000
- 28.2°, I = 712
- 29.4°, I = 574
- 41.6°, I = 436
- 43.4°, I = 551
- 43.7°, I = 325
- 45.0°, I = 334
- 45.9°, I = 450